Record 1
For AcLa4Er2, a cell relaxed with PBE gives the calculated powder XRD pattern in this record (CuKα).
Intensities are scaled so that the largest is 1000.

Structure:
Lattice parameters (Å, degrees): 6.7605 8.7974 9.2096 88.36 82.17 70.81
Space group P1 (No. 1)
Asymmetric unit:
Ac 0.0000 0.0000 0.0000
Ac 0.4312 0.1900 0.8699
La 0.0251 0.5542 0.0532
La 0.1468 0.2115 0.2939
La 0.1769 0.7511 0.3382
La 0.4200 0.6214 0.8182
La 0.5931 0.3989 0.1568
La 0.7071 0.0484 0.3951
La 0.8762 0.7800 0.7118
La 0.8883 0.3307 0.6982
Er 0.2961 0.9637 0.6106
Er 0.3469 0.4111 0.5318
Er 0.5493 0.8420 0.1019
Er 0.7092 0.6262 0.4233

Main lines, by angle (10 to 80 degrees two-theta):
- 29.3°, 3.045 Å, intensity 753, hkl 0 2 2
- 29.8°, 2.994 Å, intensity 748, hkl 2 2 1
- 30.1°, 2.968 Å, intensity 1000, hkl 1 2 -2
- 30.2°, 2.957 Å, intensity 999, hkl 1 -2 1
- 30.9°, 2.895 Å, intensity 907, hkl 1 0 3
- 31.1°, 2.872 Å, intensity 928, hkl 2 0 -1
- 31.5°, 2.840 Å, intensity 262, hkl 0 1 3
- 31.9°, 2.810 Å, intensity 273, hkl 1 3 1
- 41.1°, 2.198 Å, intensity 268, hkl 1 4 0
- 54.9°, 1.672 Å, intensity 315, hkl 3 -2 0

Record 2
For V5Ga2Ni12, a cell relaxed with PBE gives the calculated powder XRD pattern in this record (CuKα).
Intensities are scaled so that the largest is 1000.

Structure:
Lattice parameters (Å, degrees): 13.6807 4.8616 8.0059 90.00 109.78 90.00
Space group C2/m (No. 12)
Asymmetric unit:
V 0.0000 0.0000 0.0000
V 0.1389 0.5000 0.3611
V 0.1905 0.5000 0.8716
Ga 0.0000 0.2497 0.5000
Ni 0.0149 0.5000 0.8603
Ni 0.1153 0.0000 0.8134
Ni 0.1542 0.2528 0.1086
Ni 0.2007 0.2430 0.6155

Main lines, by angle (10 to 80 degrees two-theta):
- 38.9°, 2.314 Å, intensity 298, hkl 0 2 1
- 39.6°, 2.277 Å, intensity 322, hkl 3 1 -3
- 42.1°, 2.146 Å, intensity 466, hkl 6 0 0
- 42.7°, 2.118 Å, intensity 353, hkl 4 0 2
- 42.9°, 2.109 Å, intensity 353, hkl 2 0 3
- 44.0°, 2.059 Å, intensity 1000, hkl 2 2 -2
- 45.4°, 1.999 Å, intensity 876, hkl 2 0 -4
- 48.2°, 1.888 Å, intensity 319, hkl 4 2 -2
- 49.2°, 1.851 Å, intensity 425, hkl 2 2 2
- 51.0°, 1.792 Å, intensity 375, hkl 4 2 1

Record 3
For YMg2Au3, a cell relaxed with PBE gives the calculated powder XRD pattern in this record (CuKα).
Intensities are scaled so that the largest is 1000.

Structure:
Lattice parameters (Å, degrees): 4.7505 4.7505 12.4071 90.00 90.00 120.00
Space group P-3m1 (No. 164)
Asymmetric unit:
Y 0.3333 0.6667 0.1741
Mg 0.0000 0.0000 0.0000
Mg 0.0000 0.0000 0.5000
Mg 0.3333 0.6667 0.6551
Au 0.0000 0.0000 0.2766
Au 0.3333 0.6667 0.4217
Au 0.3333 0.6667 0.9315

Main lines, by angle (10 to 80 degrees two-theta):
- 26.0°, 3.429 Å, intensity 934, hkl 0 1 2
- 36.3°, 2.477 Å, intensity 1000, hkl 1 0 4
- 37.9°, 2.375 Å, intensity 999, hkl 1 1 0
- 42.5°, 2.125 Å, intensity 118, hkl 0 1 5
- 46.5°, 1.952 Å, intensity 206, hkl 2 0 2
- 53.4°, 1.714 Å, intensity 333, hkl 0 2 4
- 59.2°, 1.560 Å, intensity 117, hkl 1 1 6
- 61.5°, 1.508 Å, intensity 183, hkl 1 2 2
- 67.4°, 1.390 Å, intensity 330, hkl 2 1 4
- 68.4°, 1.371 Å, intensity 178, hkl 3 0 0

Record 4
For PrThPb2, a cell relaxed with PBE gives the calculated powder XRD pattern in this record (CuKα).
Intensities are scaled so that the largest is 1000.

Structure:
Lattice parameters (Å, degrees): 4.6543 4.5838 12.0474 90.00 90.00 90.00
Space group Amm2 (No. 38)
Asymmetric unit:
Pr 0.0000 0.0000 0.0000
Th 0.5000 0.0000 0.7366
Pb 0.0000 0.0000 0.2686
Pb 0.5000 0.0000 0.4666

Main lines, by angle (10 to 80 degrees two-theta):
- 28.3°, 3.152 Å, intensity 1000, hkl 1 1 1
- 29.7°, 3.013 Å, intensity 455, hkl 0 0 4
- 35.4°, 2.533 Å, intensity 936, hkl 1 1 3
- 38.7°, 2.327 Å, intensity 255, hkl 2 0 0
- 39.3°, 2.292 Å, intensity 244, hkl 0 2 0
- 49.5°, 1.842 Å, intensity 233, hkl 2 0 4
- 50.0°, 1.824 Å, intensity 194, hkl 0 2 4
- 56.3°, 1.633 Å, intensity 174, hkl 2 2 0
- 60.8°, 1.523 Å, intensity 147, hkl 1 1 7
- 65.0°, 1.436 Å, intensity 185, hkl 2 2 4